Sr2Sc2B4O11: theoretical X-ray diffraction stick pattern (copper Kα), based on a PBE-relaxed structure.
No peak broadening, texture or thermal motion is included.

Most intense lines, 10° ≤ 2θ ≤ 90°, low angle first:
two_theta	I/Imax	(hkl)
20.1	67	1 1 0
26.0	72	1 -1 0
29.7	82	0 2 0
30.1	52	1 0 -2
31.2	100	1 0 2
33.9	24	1 1 -2
42.3	22	-1 2 2
42.7	30	2 1 2
42.9	18	1 -2 1
43.5	31	2 0 -2
44.3	27	1 3 0
53.4	18	1 0 -4

Cell and atoms:
abc: 5.1290 6.3513 7.3726
angles: 78.26 89.18 75.62
Space group P-1 (No. 2)
Unique sites:
1 Sr 0.2228 0.1945 0.1633
2 Sc 0.1859 0.2819 0.6465
3 B 0.2791 0.7804 0.6065
4 B 0.3538 0.6559 0.1019
5 O 0.0907 0.6582 0.1329
6 O 0.1126 0.6443 0.5765
7 O 0.1740 0.9482 0.7027
8 O 0.4591 0.2553 0.4432
9 O 0.4924 0.7943 0.1529
10 O 0.5000 0.5000 0.0000